This entry pairs a crystal structure of LiVSe3 with its computed PXRD pattern. Radiation: λ = 1.5418 Å (Cu Kα). Structure: a DFT-relaxed cell (GGA-PBE, Alexandria).

Structural model:
Cell lengths 6.540, 9.136, 6.342 Å; angles 90.00, 90.00, 90.00 degrees
Space group Pnma (No. 62)
Unique sites:
Li: 0.125 0.250 0.043 x4
V: 0.000 0.000 0.500 x4
Se: 0.020 0.750 0.351 x4
Se: 0.172 0.569 0.833 x8

Largest 10 diffraction maxima, most intense first, 10° ≤ 2θ ≤ 90°:
hkl 0 3 1, 32.62°, I = 100
hkl 1 1 2, 32.89°, I = 55
hkl 0 2 0, 19.47°, I = 55
hkl 3 3 2, 59.77°, I = 49
hkl 1 0 2, 31.35°, I = 48
hkl 2 1 1, 32.33°, I = 48
hkl 1 2 3, 49.52°, I = 47
hkl 2 2 2, 44.42°, I = 43
hkl 3 0 1, 43.92°, I = 35
hkl 2 2 1, 36.65°, I = 31